Starting from a cell relaxed with GGA+U, the PXRD pattern of FeOF was simulated for Cu Kα (λ = 1.5418 Å).

Main lines, sorted by position (2θ from 15° to 90°):
- 2θ 26.3, intensity 100, hkl 0 2 0
- 2θ 34.9, intensity 50, hkl 4 1 1
- 2θ 37.6, intensity 7, hkl 0 2 2
- 2θ 39.8, intensity 19, hkl 4 0 2
- 2θ 52.2, intensity 53, hkl 4 3 1
- 2θ 54.1, intensity 7, hkl 0 0 4
- 2θ 54.3, intensity 7, hkl 0 4 0
- 2θ 60.7, intensity 9, hkl 8 0 0
- 2θ 66.1, intensity 17, hkl 4 3 3
- 2θ 67.4, intensity 12, hkl 8 2 0

```
data_FeOF
_chemical_formula_sum 'Fe16 O16 F16'
_cell_length_a 12.1974
_cell_length_b 6.7624
_cell_length_c 6.7839
_cell_angle_alpha 90.00
_cell_angle_beta 90.00
_cell_angle_gamma 90.00
_space_group_name_H-M_alt 'A m a 2'
_space_group_IT_number 40
loop_
_space_group_symop_operation_xyz
'x,y,z'
'-x,-y,z'
'-x+1/2,y,z'
'x+1/2,-y,z'
'x,y+1/2,z+1/2'
'-x,-y+1/2,z+1/2'
'-x+1/2,y+1/2,z+1/2'
'x+1/2,-y+1/2,z+1/2'
loop_
_atom_site_label
_atom_site_type_symbol
_atom_site_fract_x
_atom_site_fract_y
_atom_site_fract_z
_atom_site_occupancy
Fe1 Fe 0.0000 0.0000 0.0000 1
Fe2 Fe 0.1247 0.0318 0.5380 1
Fe3 Fe 0.2500 0.4855 0.5764 1
O1 O 0.0000 0.0000 0.7166 1
O2 O 0.1226 0.3185 0.5388 1
O3 O 0.2500 0.0079 0.3595 1
F1 F 0.0000 0.0000 0.3348 1
F2 F 0.1270 0.2025 0.0375 1
F3 F 0.2500 0.0136 0.7433 1
```